For CaMo2O4, a crystal structure in the Materials Project, relaxed with GGA+U gives the theoretical X-ray powder pattern in this record (Cu Kα, 1.54184 Å).
No peak broadening, texture or thermal motion is included.

Largest 10 diffraction maxima, sorted by position, 10° ≤ 2θ ≤ 90°:
- 16.51 deg, intensity 90, hkl 0 0 3
- 31.49 deg, intensity 64, hkl 4 0 -1
- 32.08 deg, intensity 100, hkl 2 2 1
- 32.17 deg, intensity 31, hkl 1 1 5
- 33.33 deg, intensity 41, hkl 2 2 -2
- 39.06 deg, intensity 44, hkl 2 2 4
- 50.17 deg, intensity 24, hkl 4 0 -7
- 51.40 deg, intensity 29, hkl 1 3 5
- 55.59 deg, intensity 32, hkl 6 2 0
- 55.69 deg, intensity 31, hkl 2 2 -8

Structural model:
```
data_CaMo2O4
_cell_length_a 11.501
_cell_length_b 6.538
_cell_length_c 16.077
_cell_angle_alpha 90.00
_cell_angle_beta 91.48
_cell_angle_gamma 90.00
_space_group_name_H-M_alt 'C 1 m 1'
_space_group_IT_number 8
loop_
_space_group_symop_operation_xyz
'x,y,z'
'x,-y,z'
'x+1/2,y+1/2,z'
'x+1/2,-y+1/2,z'
loop_
_atom_site_label
_atom_site_type_symbol
_atom_site_fract_x
_atom_site_fract_y
_atom_site_fract_z
Ca1 Ca 0.000 0.000 0.000
Ca2 Ca 0.001 0.000 0.622
Ca3 Ca 0.165 0.500 0.915
Ca4 Ca 0.333 0.000 0.335
Ca5 Ca 0.334 0.000 0.580
Ca6 Ca 0.499 0.500 0.249
Mo1 Mo 0.000 0.500 0.124
Mo2 Mo 0.084 0.249 0.458
Mo3 Mo 0.164 0.500 0.667
Mo4 Mo 0.166 0.000 0.792
Mo5 Mo 0.166 0.500 0.291
Mo6 Mo 0.250 0.254 0.124
Mo7 Mo 0.333 0.000 0.959
Mo8 Mo 0.337 0.500 0.457
Mo9 Mo 0.414 0.245 0.792
O1 O 0.001 0.000 0.858
O2 O 0.022 0.500 0.377
O3 O 0.077 0.251 0.724
O4 O 0.096 0.280 0.201
O5 O 0.153 0.000 0.532
O6 O 0.163 0.500 0.055
O7 O 0.179 0.500 0.534
O8 O 0.188 0.000 0.043
O9 O 0.238 0.280 0.381
O10 O 0.262 0.218 0.869
O11 O 0.311 0.500 0.204
O12 O 0.328 0.000 0.723
O13 O 0.337 0.000 0.193
O14 O 0.340 0.500 0.712
O15 O 0.405 0.219 0.048
O16 O 0.429 0.266 0.530
O17 O 0.476 0.000 0.871
O18 O 0.499 0.500 0.389
```